# 1
Starting from a GGA-PBE-relaxed structure, the X-ray powder pattern of Ba3Mg3Ag8 was calculated for λ = 1.5418 Å (Cu Kα).

Atomic structure:
a = 9.212 Å, b = 9.212 Å, c = 9.212 Å
α = 148.96°, β = 113.27°, γ = 75.42°
Atoms (fractional coordinates):
Ba 0.000 0.000 0.000
Ba 0.293 0.293 0.000
Ba 0.707 0.707 0.000
Mg 0.294 0.500 0.794
Mg 0.500 0.000 0.500
Mg 0.706 0.500 0.206
Ag 0.017 0.664 0.353
Ag 0.160 0.873 0.287
Ag 0.311 0.664 0.647
Ag 0.414 0.127 0.287
Ag 0.586 0.873 0.713
Ag 0.689 0.336 0.353
Ag 0.840 0.127 0.713
Ag 0.983 0.336 0.647

Top 10 peaks for 10° ≤ 2θ ≤ 90°, by angle:
2θ/deg, Rel. int.
12.14, 25
25.74, 28
30.21, 55
31.30, 62
31.79, 48
32.12, 100
32.28, 27
35.78, 28
36.45, 61
48.04, 29

---

# 2
Starting from a GGA-PBE-relaxed structure, the X-ray powder pattern of Ba2MgAgPb6 was calculated for λ = 1.5418 Å (Cu Kα).

Atomic structure:
a = 14.251 Å, b = 14.251 Å, c = 14.251 Å
α = 31.03°, β = 31.03°, γ = 31.03°
Atoms (fractional coordinates):
Ba 0.115 0.115 0.115
Ba 0.291 0.291 0.291
Ba 0.709 0.709 0.709
Ba 0.885 0.885 0.885
Mg 0.429 0.429 0.429
Mg 0.571 0.571 0.571
Ag 0.000 0.000 0.000
Ag 0.500 0.500 0.500
Pb 0.073 0.660 0.660
Pb 0.227 0.227 0.667
Pb 0.227 0.667 0.227
Pb 0.333 0.773 0.773
Pb 0.340 0.340 0.927
Pb 0.340 0.927 0.340
Pb 0.660 0.073 0.660
Pb 0.660 0.660 0.073
Pb 0.667 0.227 0.227
Pb 0.773 0.333 0.773
Pb 0.773 0.773 0.333
Pb 0.927 0.340 0.340

Top 10 peaks for 10° ≤ 2θ ≤ 90°, by angle:
2θ/deg, Rel. int.
26.30, 56
27.37, 25
29.20, 96
31.16, 100
35.01, 20
36.27, 30
41.41, 26
47.72, 36
50.85, 23
55.30, 26

---

# 3
Starting from a GGA-PBE-relaxed structure, the X-ray powder pattern of Ba2MgAg3Pb4 was calculated for λ = 1.5418 Å (Cu Kα).

Atomic structure:
a = 4.926 Å, b = 4.926 Å, c = 12.314 Å
α = 90.00°, β = 90.00°, γ = 90.00°
Atoms (fractional coordinates):
Ba 0.000 0.500 0.247
Ba 0.500 0.000 0.753
Mg 0.500 0.500 0.000
Ag 0.000 0.000 0.000
Ag 0.000 0.500 0.636
Ag 0.500 0.000 0.364
Pb 0.000 0.000 0.500
Pb 0.000 0.500 0.868
Pb 0.500 0.000 0.132
Pb 0.500 0.500 0.500

Top 10 peaks for 10° ≤ 2θ ≤ 90°, by angle:
2θ/deg, Rel. int.
26.59, 26
28.30, 58
29.46, 100
36.48, 79
39.05, 50
40.97, 36
46.80, 29
52.54, 31
56.00, 28
61.39, 25

---

# 4
Starting from a GGA-PBE-relaxed structure, the X-ray powder pattern of BaSrMgAg was calculated for λ = 1.5418 Å (Cu Kα).

Atomic structure:
a = 4.988 Å, b = 6.899 Å, c = 6.899 Å
α = 40.06°, β = 90.00°, γ = 90.00°
Atoms (fractional coordinates):
Ba 0.000 0.000 0.000
Sr 0.500 0.285 0.285
Mg 0.000 0.709 0.709
Ag 0.500 0.593 0.593

Top 10 peaks for 10° ≤ 2θ ≤ 90°, by angle:
2θ/deg, Rel. int.
13.66, 23
22.49, 31
26.88, 100
27.98, 58
32.96, 29
33.35, 43
36.01, 25
38.08, 21
46.21, 29
65.84, 19